Entry 1:
# Nd3Co3Os
Theoretical X-ray diffraction stick pattern, Cu Kα X-rays. Input: a DFT-relaxed cell (GGA-PBE, Alexandria).

Structural model:
abc: 4.1023 6.2006 12.3963
angles: 87.55 80.51 70.68
Space group P-1 (No. 2)
Unique sites:
Nd (0.0048, 0.2516, 0.2379) (multiplicity 2)
Nd (0.1741, 0.2284, 0.9244) (multiplicity 2)
Nd (0.3601, 0.1476, 0.6327) (multiplicity 2)
Co (0.0745, 0.8127, 0.5383) (multiplicity 2)
Co (0.3350, 0.5761, 0.2528) (multiplicity 2)
Co (0.4967, 0.5901, 0.9188) (multiplicity 2)
Os (0.3112, 0.4380, 0.4391) (multiplicity 2)

Most intense lines, 2θ = 10–80°, sorted by position:
- 15.1°, I 26.9, (0 1 0)
- 26.8°, I 28.4, (0 1 3)
- 31.9°, I 100.0, (1 -1 1)
- 32.9°, I 29.8, (0 1 -4)
- 33.7°, I 31.9, (1 2 2)
- 34.5°, I 85.8, (1 0 4)
- 36.9°, I 64.6, (1 2 3)
- 44.2°, I 51.2, (2 1 1)

=====

Entry 2:
# Nd3Co7Os2
Theoretical X-ray diffraction stick pattern, Cu Kα X-rays. Input: a DFT-relaxed cell (GGA-PBE, Alexandria).

Structural model:
abc: 5.1193 5.1193 25.0418
angles: 90.00 90.00 120.00
Space group R-3m (No. 166, hexagonal axes)
Unique sites:
Nd (0.0000, 0.0000, 0.0000) (multiplicity 3)
Nd (0.0000, 0.0000, 0.1395) (multiplicity 6)
Co (0.0000, 0.0000, 0.5000) (multiplicity 3)
Co (0.0058, 0.5029, 0.0819) (multiplicity 18)
Os (0.0000, 0.0000, 0.3319) (multiplicity 6)

Most intense lines, 2θ = 10–80°, sorted by position:
- 10.6°, I 24.7, (0 0 3)
- 32.2°, I 20.7, (0 0 9)
- 35.1°, I 65.3, (1 1 0)
- 41.4°, I 100.0, (1 1 6)
- 43.3°, I 22.4, (0 0 12)
- 44.7°, I 28.6, (0 1 11)
- 48.3°, I 18.2, (1 1 9)
- 67.2°, I 27.5, (0 3 6)

=====

Entry 3:
# NdCoOs
Theoretical X-ray diffraction stick pattern, Cu Kα X-rays. Input: a DFT-relaxed cell (GGA-PBE, Alexandria).

Structural model:
abc: 5.1202 5.4912 7.5926
angles: 90.00 90.00 90.00
Space group Imma (No. 74)
Unique sites:
Nd (0.0000, 0.2500, 0.1217) (multiplicity 4)
Co (0.0000, 0.0000, 0.5000) (multiplicity 4)
Os (0.2500, 0.2500, 0.7500) (multiplicity 4)

Most intense lines, 2θ = 10–80°, sorted by position:
- 32.6°, I 39.8, (0 2 0)
- 33.6°, I 42.7, (1 1 2)
- 39.1°, I 37.6, (1 2 1)
- 39.2°, I 58.6, (0 1 3)
- 40.5°, I 36.0, (0 2 2)
- 40.7°, I 100.0, (2 1 1)
- 42.6°, I 34.5, (2 0 2)
- 70.7°, I 36.2, (2 2 4)

=====

Entry 4:
# Nd3CoPd
Theoretical X-ray diffraction stick pattern, Cu Kα X-rays. Input: a DFT-relaxed cell (GGA-PBE, Alexandria).

Structural model:
abc: 8.3573 3.9357 8.3780
angles: 90.00 110.31 90.00
Space group P2_1/m (No. 11)
Unique sites:
Nd (0.0448, 0.2500, 0.1808) (multiplicity 2)
Nd (0.2259, 0.7500, 0.5626) (multiplicity 2)
Nd (0.4030, 0.7500, 0.1496) (multiplicity 2)
Co (0.4405, 0.2500, 0.4446) (multiplicity 2)
Pd (0.2298, 0.2500, 0.8482) (multiplicity 2)

Most intense lines, 2θ = 10–80°, sorted by position:
- 29.4°, I 100.0, (1 1 1)
- 31.4°, I 94.0, (1 1 -2)
- 32.1°, I 87.5, (3 0 -1)
- 32.2°, I 66.9, (0 1 2)
- 34.2°, I 63.3, (0 0 3)
- 34.7°, I 79.3, (2 1 -2)
- 36.9°, I 56.0, (2 1 1)
- 46.1°, I 51.5, (0 2 0)

=====

Entry 5:
# Nd12Co6Pd
Theoretical X-ray diffraction stick pattern, Cu Kα X-rays. Input: a DFT-relaxed cell (GGA-PBE, Alexandria).

Structural model:
abc: 9.9213 9.9213 9.9213
angles: 90.00 90.00 90.00
Space group Im-3 (No. 204)
Unique sites:
Nd (0.0000, 0.1923, 0.3029) (multiplicity 24)
Co (0.0000, 0.3873, 0.5000) (multiplicity 12)
Pd (0.0000, 0.0000, 0.0000) (multiplicity 2)

Most intense lines, 2θ = 10–80°, sorted by position:
- 28.4°, I 42.7, (3 1 0)
- 31.2°, I 52.1, (2 2 2)
- 33.8°, I 100.0, (3 2 1)
- 36.2°, I 19.5, (4 0 0)
- 46.7°, I 23.4, (5 1 0)
- 53.9°, I 37.2, (5 0 3)
- 57.2°, I 36.5, (5 3 2)
- 66.7°, I 19.7, (5 4 3)

=====

Entry 6:
# Pm3Nd3Tl2Co
Theoretical X-ray diffraction stick pattern, Cu Kα X-rays. Input: a DFT-relaxed cell (GGA-PBE, Alexandria).

Structural model:
abc: 8.9715 8.9715 3.8111
angles: 90.00 90.00 120.00
Space group P-62m (No. 189)
Unique sites:
Pm (0.0000, 0.7695, 0.0000) (multiplicity 3)
Nd (0.0000, 0.4019, 0.5000) (multiplicity 3)
Tl (0.3333, 0.6667, 0.0000) (multiplicity 2)
Co (0.0000, 0.0000, 0.5000) (multiplicity 1)

Most intense lines, 2θ = 10–80°, sorted by position:
- 30.4°, I 80.3, (2 1 0)
- 30.8°, I 100.0, (1 1 1)
- 32.9°, I 70.6, (2 0 1)
- 34.6°, I 39.6, (3 0 0)
- 38.7°, I 40.7, (2 1 1)
- 57.0°, I 29.9, (3 2 1)
- 57.7°, I 26.6, (2 1 2)
- 59.7°, I 27.8, (4 1 1)